Structure and simulated XRD peak list of MgIO12 (a crystal structure in the Materials Project, relaxed with GGA-PBE; Cu Kα (weighted mean of Kα1 and Kα2)).
Peak positions follow from Bragg's law for the DFT cell and can differ from measured ones.

Top 10 peaks for 5 to 70 degrees two-theta, by intensity:
2θ (°)	d (Å)	I (rel.)	h k l
14.4	6.151	100	1 0 0
16.9	5.245	49	1 1 -1
23.8	3.735	45	0 0 2
8.6	10.280	43	0 1 0
14.7	6.036	33	0 1 1
22.6	3.939	25	1 2 0
22.4	3.974	25	1 0 -2
17.3	5.140	23	0 2 0
37.5	2.399	17	2 3 -1
37.3	2.414	15	2 1 -3

Structure:
Unit cell a=6.7181 b=10.2797 c=8.1438 alpha=90.00 beta=113.70 gamma=90.00
Space group Pc (No. 7)
Unique sites:
Mg  0.0000  0.0669  0.0000 x2
I  0.9684  0.2141  0.5742 x2
O  0.1413  0.3613  0.0924 x2
O  0.1474  0.3566  0.6890 x2
O  0.1953  0.0932  0.6241 x2
O  0.2177  0.2420  0.1342 x2
O  0.4771  0.1094  0.0195 x2
O  0.5891  0.1759  0.9648 x2
O  0.7651  0.0831  0.4551 x2
O  0.7656  0.3525  0.5386 x2
O  0.9276  0.1812  0.7859 x2
O  0.9391  0.3738  0.0030 x2
O  0.9746  0.2727  0.3571 x2
O  0.9944  0.0505  0.2624 x2


Structure and simulated XRD peak list of Re3Sn (a crystal structure in the Materials Project, relaxed with GGA-PBE; Cu Kα (weighted mean of Kα1 and Kα2)).
Peak positions follow from Bragg's law for the DFT cell and can differ from measured ones.

Top 10 peaks for 5 to 70 degrees two-theta, by intensity:
2θ (°)	d (Å)	I (rel.)	h k l
38.8	2.319	100	1 1 2
46.0	1.971	31	2 0 0
65.0	1.434	22	2 0 4
43.3	2.090	18	0 0 4
67.2	1.394	10	2 2 0
25.0	3.566	3	1 0 1
21.3	4.180	1	0 0 2
39.6	2.276	1	1 0 3
32.1	2.788	1	1 1 0
53.1	1.725	1	2 1 1

Structure:
Unit cell a=3.9427 b=3.9427 c=8.3597 alpha=90.00 beta=90.00 gamma=90.00
Space group I4/mmm (No. 139)
Unique sites:
Re  0.0000  0.0000  0.0000 x2
Re  0.0000  0.5000  0.2500 x4
Sn  0.0000  0.0000  0.5000 x2


Structure and simulated XRD peak list of Gd2Fe12P7 (a crystal structure in the Materials Project, relaxed with GGA-PBE; Cu Kα (weighted mean of Kα1 and Kα2)).
Peak positions follow from Bragg's law for the DFT cell and can differ from measured ones.

Top 10 peaks for 5 to 70 degrees two-theta, by intensity:
2θ (°)	d (Å)	I (rel.)	h k l
39.3	2.290	100	1 2 1
50.0	1.823	17	0 0 2
53.9	1.700	16	4 1 0
27.0	3.302	13	1 0 1
57.4	1.605	12	2 3 1
34.5	2.597	11	3 0 0
30.4	2.944	10	1 2 0
49.0	1.859	10	1 3 1
40.1	2.249	9	2 2 0
41.8	2.160	9	3 1 0

Structure:
Unit cell a=8.9947 b=8.9947 c=3.6452 alpha=90.00 beta=90.00 gamma=120.00
Space group P-6 (No. 174)
Unique sites:
Gd  0.0000  0.0000  0.0000 x1
Gd  0.3333  0.6667  0.5000 x1
Fe  0.0389  0.7608  0.5000 x3
Fe  0.0985  0.3827  0.0000 x3
Fe  0.4479  0.2355  0.0000 x3
Fe  0.5131  0.0597  0.5000 x3
P  0.0669  0.6236  0.0000 x3
P  0.2581  0.0367  0.5000 x3
P  0.6667  0.3333  0.5000 x1


Structure and simulated XRD peak list of MgBi2O4 (a crystal structure in the Materials Project, relaxed with GGA-PBE; Cu Kα (weighted mean of Kα1 and Kα2)).
Peak positions follow from Bragg's law for the DFT cell and can differ from measured ones.

Top 10 peaks for 5 to 70 degrees two-theta, by intensity:
2θ (°)	d (Å)	I (rel.)	h k l
20.1	4.426	100	0 1 0
21.0	4.228	60	1 0 -1
39.5	2.280	52	2 0 -1
29.6	3.014	51	0 0 2
29.1	3.065	46	-1 1 1
29.3	3.052	45	1 0 1
20.7	4.300	39	1 0 0
31.2	2.867	37	0 1 -2
21.6	4.123	37	0 1 -1
40.4	2.232	30	0 1 2

Structure:
Unit cell a=4.5904 b=4.6186 c=6.5446 alpha=102.43 beta=107.32 gamma=96.65
Space group P-1 (No. 2)
Unique sites:
Mg  0.0000  0.0000  0.0000 x1
Bi  0.3565  0.5668  0.7416 x2
O  0.1376  0.3499  0.2607 x2
O  0.3728  0.1882  0.8974 x2


Structure and simulated XRD peak list of Sr8Cr3N8 (a crystal structure in the Materials Project, relaxed with GGA-PBE; Cu Kα (weighted mean of Kα1 and Kα2)).
Peak positions follow from Bragg's law for the DFT cell and can differ from measured ones.

Top 10 peaks for 5 to 70 degrees two-theta, by intensity:
2θ (°)	d (Å)	I (rel.)	h k l
33.5	2.673	100	0 2 0
29.2	3.056	77	5 1 -1
31.2	2.866	68	1 1 2
28.9	3.093	53	1 1 -2
29.6	3.021	40	5 1 0
27.3	3.270	33	3 1 1
33.8	2.654	28	5 1 -2
29.8	2.997	25	3 1 -2
35.0	2.565	23	6 0 1
61.6	1.507	23	7 1 3

Structure:
Unit cell a=19.1023 b=5.3459 c=7.6105 alpha=90.00 beta=106.61 gamma=90.00
Space group C2/m (No. 12)
Unique sites:
Sr  0.0296  0.0000  0.2700 x4
Sr  0.0974  0.5000  0.9524 x4
Sr  0.1665  0.5000  0.4691 x4
Sr  0.1985  0.0000  0.8014 x4
Cr  0.0000  0.5000  0.5000 x2
Cr  0.1870  0.0000  0.2032 x4
N  0.0255  0.5000  0.2912 x4
N  0.1078  0.0000  0.0157 x4
N  0.1798  0.0000  0.4241 x4
N  0.2271  0.5000  0.8324 x4


Structure and simulated XRD peak list of Ho5Si3 (a crystal structure in the Materials Project, relaxed with GGA-PBE; Cu Kα (weighted mean of Kα1 and Kα2)).
Peak positions follow from Bragg's law for the DFT cell and can differ from measured ones.

Top 10 peaks for 5 to 70 degrees two-theta, by intensity:
2θ (°)	d (Å)	I (rel.)	h k l
35.6	2.524	100	1 1 2
30.8	2.901	28	1 0 2
32.6	2.750	28	2 1 0
25.5	3.499	26	1 1 1
37.1	2.425	20	3 0 0
24.5	3.638	19	2 0 0
58.5	1.577	17	4 0 2
52.3	1.750	15	2 2 2
54.9	1.673	15	2 1 3
58.1	1.588	12	4 1 0

Structure:
Unit cell a=8.4008 b=8.4008 c=6.3258 alpha=90.00 beta=90.00 gamma=120.00
Space group P6_3/mcm (No. 193)
Unique sites:
Ho  0.0000  0.2427  0.2500 x6
Ho  0.3333  0.6667  0.0000 x4
Si  0.0000  0.3947  0.7500 x6


Structure and simulated XRD peak list of CrN2 (a crystal structure in the Materials Project, relaxed with GGA-PBE; Cu Kα (weighted mean of Kα1 and Kα2)).
Peak positions follow from Bragg's law for the DFT cell and can differ from measured ones.

Top 10 peaks for 5 to 70 degrees two-theta, by intensity:
2θ (°)	d (Å)	I (rel.)	h k l
12.4	7.145	100	0 0 1
16.6	5.336	88	1 1 0
22.1	4.014	58	0 2 0
32.4	2.763	48	1 1 2
22.4	3.970	41	1 1 1
33.6	2.668	39	0 2 2
25.3	3.523	39	2 0 -1
25.5	3.500	30	0 2 1
31.2	2.865	27	2 0 -2
52.3	1.750	19	2 4 0

Structure:
Unit cell a=7.3255 b=8.0286 c=7.3289 alpha=90.00 beta=102.87 gamma=90.00
Space group C2 (No. 5)
Unique sites:
Cr  0.0138  0.0000  0.2339 x4
Cr  0.1904  0.3728  0.4224 x4
N  0.0000  0.4503  0.5000 x2
N  0.0000  0.9597  0.0000 x2
N  0.1203  0.1887  0.3004 x4
N  0.1417  0.8447  0.3730 x4
N  0.2097  0.0005  0.7204 x4